1.
# LiV2F5
Simulated PXRD pattern, λ = 1.5418 Å (Cu Kα). Input: a structure optimized by DFT (GGA+U).
Intensities are scaled so that the largest is 100.

Peak list (10 most intense, 15° ≤ 2θ ≤ 90°, low angle first)
| h k l | d/Å | Position (°2θ) | intensity |
| --- | --- | --- | --- |
| 1 1 0 | 4.676 | 19.0 | 100 |
| 0 0 2 | 3.552 | 25.1 | 38 |
| 3 1 -2 | 2.686 | 33.4 | 31 |
| 2 2 -1 | 2.357 | 38.2 | 21 |
| 3 1 1 | 2.344 | 38.4 | 20 |
| 1 1 -3 | 2.295 | 39.3 | 20 |
| 5 1 0 | 1.850 | 49.2 | 21 |
| 4 2 -2 | 1.844 | 49.4 | 27 |
| 3 1 -4 | 1.802 | 50.7 | 31 |
| 1 3 2 | 1.522 | 60.9 | 23 |

Cell and atoms:
Unit cell a=10.771 b=5.309 c=7.752 alpha=90.00 beta=113.60 gamma=90.00
Space group C2/c (No. 15)
Inequivalent atoms, fractional coordinates:
Li 0.000 0.000 0.000 x4
V 0.123 0.498 0.215 x8
F 0.000 0.204 0.750 x4
F 0.083 0.339 0.445 x8
F 0.185 0.151 0.150 x8



2.
# LiMn3B3O9
Simulated PXRD pattern, λ = 1.5418 Å (Cu Kα). Input: a structure optimized by DFT (GGA+U).
Intensities are scaled so that the largest is 100.

Peak list (10 most intense, 15° ≤ 2θ ≤ 90°, low angle first)
| h k l | d/Å | Position (°2θ) | intensity |
| --- | --- | --- | --- |
| 0 1 1 | 4.512 | 19.7 | 100 |
| 1 1 -1 | 4.369 | 20.3 | 33 |
| 0 1 -2 | 4.287 | 20.7 | 30 |
| 1 0 -2 | 4.012 | 22.2 | 73 |
| 0 2 -1 | 3.933 | 22.6 | 87 |
| 1 2 0 | 2.664 | 33.6 | 45 |
| 2 -2 0 | 2.547 | 35.2 | 82 |
| -1 1 3 | 2.424 | 37.1 | 31 |
| 1 1 -4 | 2.266 | 39.8 | 42 |
| 1 0 -5 | 1.710 | 53.6 | 32 |

Cell and atoms:
Unit cell a=5.926 b=7.984 c=9.106 alpha=109.32 beta=107.47 gamma=99.32
Space group P1 (No. 1)
Inequivalent atoms, fractional coordinates:
Li 0.000 0.000 0.000 x1
Li 0.335 0.331 0.668 x1
Mn 0.051 0.984 0.672 x1
Mn 0.125 0.563 0.877 x1
Mn 0.418 0.350 0.354 x1
Mn 0.463 0.886 0.537 x1
Mn 0.714 0.658 0.030 x1
Mn 0.817 0.241 0.211 x1
B 0.066 0.986 0.336 x1
B 0.157 0.586 0.221 x1
B 0.377 0.303 0.998 x1
B 0.492 0.905 0.883 x1
B 0.702 0.651 0.684 x1
B 0.823 0.239 0.544 x1
O 0.022 0.388 0.632 x1
O 0.106 0.110 0.264 x1
O 0.145 0.454 0.289 x1
O 0.185 0.142 0.916 x1
O 0.221 0.036 0.509 x1
O 0.327 0.868 0.717 x1
O 0.336 0.751 0.299 x1
O 0.425 0.419 0.918 x1
O 0.451 0.768 0.944 x1
O 0.521 0.359 0.167 x1
O 0.532 0.480 0.601 x1
O 0.657 0.211 0.385 x1
O 0.685 0.059 0.967 x1
O 0.725 0.772 0.604 x1
O 0.784 0.094 0.596 x1
O 0.859 0.714 0.852 x1
O 0.874 0.830 0.260 x1
O 0.981 0.537 0.060 x1